CaEr6Ta2O14: computed PXRD pattern (a wavelength of 1.5418 Å), based on a structure optimized by DFT (PBE).
Kinematic intensities with the Lorentz-polarization factor, no thermal factor.

The 10 most intense peaks (10° ≤ 2θ ≤ 90°), by intensity:
| h k l | two_theta | Rel. int. |
| --- | --- | --- |
| 0 2 2 | 28.7 | 1000 |
| 2 2 0 | 28.9 | 927 |
| 2 0 2 | 33.2 | 573 |
| 2 4 -2 | 48.1 | 485 |
| 2 2 -4 | 56.5 | 274 |
| 4 2 -2 | 56.8 | 225 |
| 0 0 4 | 47.4 | 202 |
| 0 4 0 | 33.9 | 199 |
| 1 3 1 | 30.3 | 175 |
| 4 0 0 | 47.8 | 153 |

Structural model:
```
data_CaEr6Ta2O14
_cell_length_a 7.607
_cell_length_b 10.589
_cell_length_c 7.669
_cell_angle_alpha 90.00
_cell_angle_beta 90.00
_cell_angle_gamma 90.00
_symmetry_space_group_name_H-M 'C 1 2 1'
_symmetry_Int_Tables_number 5
loop_
_symmetry_equiv_pos_as_xyz
'x,y,z'
'-x,y,-z'
'x+1/2,y+1/2,z'
'-x+1/2,y+1/2,-z'
loop_
_atom_site_label
_atom_site_type_symbol
_atom_site_fract_x
_atom_site_fract_y
_atom_site_fract_z
_atom_site_occupancy
Ca1 Ca 0.000 0.000 0.000 1
Er1 Er 0.000 0.719 0.000 1
Er2 Er 0.000 0.799 0.500 1
Er3 Er 0.221 0.505 0.263 1
Er4 Er 0.221 0.505 0.736 1
Ta1 Ta 0.000 0.262 0.500 1
Ta2 Ta 0.000 0.302 0.000 1
O1 O 0.000 0.332 0.255 1
O2 O 0.000 0.648 0.276 1
O3 O 0.000 0.941 0.277 1
O4 O 0.185 0.140 0.500 1
O5 O 0.199 0.150 0.999 1
O6 O 0.217 0.389 0.500 1
O7 O 0.247 0.884 0.000 1
```